Pr7BiI12: simulated X-ray diffraction stick pattern (Cu Kα X-rays), based on a structure optimized by DFT (GGA-PBE).
No peak broadening, texture or thermal motion is included.

Structure:
a = 16.5037 Å, b = 16.5037 Å, c = 10.7585 Å
α = 90.00°, β = 90.00°, γ = 120.00°
Space group R-3 (No. 148, hexagonal axes)
Unique sites:
Pr (0.0000, 0.0000, 0.0000) x3
Pr (0.0494, 0.8790, 0.3364) x18
Bi (0.0000, 0.0000, 0.5000) x3
I (0.0249, 0.4360, 0.1672) x18
I (0.0528, 0.8677, 0.8418) x18

Most intense lines, 5 to 70 degrees two-theta, sorted by position:
two_theta	intensity
10.29	88
10.72	221
20.67	45
23.92	124
27.96	1000
39.37	384
40.53	365
48.98	206
50.93	60
57.78	126
64.57	172
66.21	161

Bi3PtI: simulated X-ray diffraction stick pattern (Cu Kα X-rays), based on a structure optimized by DFT (GGA-PBE).
No peak broadening, texture or thermal motion is included.

Structure:
a = 11.7413 Å, b = 16.5340 Å, c = 6.7902 Å
α = 90.00°, β = 94.25°, γ = 90.00°
Space group C2/c (No. 15)
Unique sites:
Bi (0.1108, 0.2264, 0.0112) x8
Bi (0.1227, 0.3433, 0.6201) x8
Bi (0.1673, 0.4300, 0.0798) x8
Pt (0.0000, 0.3393, 0.2500) x4
Pt (0.0000, 0.4777, 0.7500) x4
I (0.1311, 0.0912, 0.5159) x8

Most intense lines, 5 to 70 degrees two-theta, sorted by position:
two_theta	intensity
9.26	1000
28.50	262
29.04	629
30.54	127
30.80	126
31.49	268
31.76	151
37.44	237
38.88	144
39.17	202
42.29	189
45.81	143

Pu4BiI5: simulated X-ray diffraction stick pattern (Cu Kα X-rays), based on a structure optimized by DFT (GGA-PBE).
No peak broadening, texture or thermal motion is included.

Structure:
a = 19.4671 Å, b = 4.4103 Å, c = 9.1275 Å
α = 90.00°, β = 101.42°, γ = 90.00°
Space group C2/m (No. 12)
Unique sites:
Pu (0.0029, 0.0000, 0.2485) x4
Pu (0.1664, 0.5000, 0.0693) x4
Bi (0.0000, 0.5000, 0.0000) x2
I (0.0000, 0.5000, 0.5000) x2
I (0.1676, 0.0000, 0.8158) x4
I (0.1697, 0.0000, 0.3248) x4

Most intense lines, 5 to 70 degrees two-theta, sorted by position:
two_theta	intensity
9.27	115
9.89	271
22.55	77
28.12	1000
39.59	397
40.70	246
40.93	125
48.24	74
50.08	64
50.35	137
58.20	84
64.90	124

RbBiI6: simulated X-ray diffraction stick pattern (Cu Kα X-rays), based on a structure optimized by DFT (GGA-PBE).
No peak broadening, texture or thermal motion is included.

Structure:
a = 13.5778 Å, b = 13.5778 Å, c = 13.5778 Å
α = 90.00°, β = 90.00°, γ = 90.00°
Space group Fm-3m (No. 225)
Unique sites:
Rb (0.0000, 0.0000, 0.0000) x4
Bi (0.0000, 0.0000, 0.5000) x4
I (0.0000, 0.0000, 0.2746) x24

Most intense lines, 5 to 70 degrees two-theta, sorted by position:
two_theta	intensity
11.29	314
13.04	1000
22.69	226
26.25	639
29.42	496
34.32	196
37.47	453
39.84	269
46.33	149
48.34	173
55.84	143
61.04	164

Rb2BiI5: simulated X-ray diffraction stick pattern (Cu Kα X-rays), based on a structure optimized by DFT (GGA-PBE).
No peak broadening, texture or thermal motion is included.

Structure:
a = 7.3315 Å, b = 8.7948 Å, c = 9.3843 Å
α = 66.12°, β = 67.06°, γ = 65.37°
Space group P1 (No. 1)
Unique sites:
Rb (0.0000, 0.0000, 0.0000) x1
Rb (0.4331, 0.6555, 0.4788) x1
Bi (0.1953, 0.3274, 0.2398) x1
I (0.2864, 0.0777, 0.5619) x1
I (0.3562, 0.5776, 0.9172) x1
I (0.4469, 0.0207, 0.0860) x1
I (0.7927, 0.3252, 0.2422) x1
I (0.9865, 0.6345, 0.3931) x1

Most intense lines, 5 to 70 degrees two-theta, sorted by position:
two_theta	intensity
10.70	943
13.79	1000
17.93	339
22.60	463
24.28	702
26.60	272
26.77	561
27.32	614
30.35	342
36.45	335
36.87	364
41.86	268

Rb3BiI: simulated X-ray diffraction stick pattern (Cu Kα X-rays), based on a structure optimized by DFT (GGA-PBE).
No peak broadening, texture or thermal motion is included.

Structure:
a = 12.3395 Å, b = 6.1712 Å, c = 14.3277 Å
α = 90.00°, β = 107.92°, γ = 90.00°
Space group C2/m (No. 12)
Unique sites:
Rb (0.1070, 0.0000, 0.3647) x4
Rb (0.1374, 0.5000, 0.0962) x4
Rb (0.1858, 0.5000, 0.8331) x4
Bi (0.0450, 0.0000, 0.9086) x4
I (0.2002, 0.0000, 0.6368) x4

Most intense lines, 5 to 70 degrees two-theta, sorted by position:
two_theta	intensity
6.48	976
16.23	596
26.04	360
26.15	439
26.74	371
27.27	270
28.82	420
28.96	1000
29.42	346
33.05	426
36.88	328
39.39	302

Rb2BiI7: simulated X-ray diffraction stick pattern (Cu Kα X-rays), based on a structure optimized by DFT (GGA-PBE).
No peak broadening, texture or thermal motion is included.

Structure:
a = 9.3630 Å, b = 9.3630 Å, c = 12.1903 Å
α = 90.00°, β = 90.00°, γ = 90.00°
Space group I4/mmm (No. 139)
Unique sites:
Rb (0.0000, 0.5000, 0.2500) x4
Bi (0.0000, 0.0000, 0.0000) x2
I (0.0000, 0.0000, 0.2512) x4
I (0.0000, 0.0000, 0.5000) x2
I (0.2316, 0.2316, 0.0000) x8

Most intense lines, 5 to 70 degrees two-theta, sorted by position:
two_theta	intensity
13.37	577
14.53	233
19.80	185
23.96	643
26.93	1000
29.31	420
38.46	369
40.22	679
45.82	180
49.07	364
62.76	153
64.01	151